Calculated X-ray diffraction stick pattern
Compound: Cs4Zn5Sb6
Radiation: Cu Kα (λ = 1.5418 Å)
Structure: a GGA-PBE-relaxed structure

Unit cell a=4.6514 b=21.1796 c=21.2158 alpha=90.00 beta=90.00 gamma=90.00
Space group Cmc2_1 (No. 36)
One atom of each set of equivalent atoms:
Cs 0.0000 0.0247 0.0000
Cs 0.0000 0.0249 0.2496
Cs 0.0000 0.1998 0.3023
Cs 0.0000 0.1999 0.9462
Zn 0.0000 0.1069 0.6248
Zn 0.0000 0.2464 0.6252
Zn 0.0000 0.3901 0.0123
Zn 0.0000 0.3904 0.2376
Zn 0.0000 0.4008 0.6246
Sb 0.0000 0.1669 0.1243
Sb 0.0000 0.1782 0.5151
Sb 0.0000 0.1777 0.7350
Sb 0.0000 0.4354 0.8899
Sb 0.0000 0.4361 0.3599
Sb 0.0000 0.4668 0.1249

Main lines, sorted by position (10° ≤ 2θ ≤ 80°):
h k l  d (Å)  2θ/deg  Rel. int.
1 3 0  3.884  22.90  372
1 1 3  3.822  23.27  345
1 1 4  3.450  25.82  726
0 4 5  3.311  26.93  660
1 5 0  3.132  28.50  1000
0 0 8  2.651  33.81  343
2 0 0  2.326  38.72  555
1 7 5  2.177  41.48  442
2 4 5  1.903  47.79  270
1 11 3  1.726  53.06  273

***

Calculated X-ray diffraction stick pattern
Compound: TbTmN
Radiation: Cu Kα (λ = 1.5418 Å)
Structure: a GGA-PBE-relaxed structure

Unit cell a=3.4711 b=3.4711 c=5.9498 alpha=90.00 beta=90.00 gamma=120.00
Space group P3m1 (No. 156)
One atom of each set of equivalent atoms:
Tb 0.0000 0.0000 0.0000
Tm 0.3333 0.6667 0.4484
N 0.6667 0.3333 0.2376

Main lines, sorted by position (10° ≤ 2θ ≤ 80°):
h k l  d (Å)  2θ/deg  Rel. int.
0 0 1  5.950  14.89  73
1 0 0  3.006  29.72  193
0 0 2  2.975  30.04  246
0 1 1  2.683  33.40  1000
1 0 2  2.115  42.76  235
1 1 0  1.736  52.74  202
0 1 3  1.655  55.51  213
1 1 2  1.499  61.90  196
2 0 1  1.457  63.88  155
1 0 4  1.333  70.66  65

***

Calculated X-ray diffraction stick pattern
Compound: Tc3Hg
Radiation: Cu Kα (λ = 1.5418 Å)
Structure: a GGA-PBE-relaxed structure

Unit cell a=2.8272 b=2.8272 c=8.0348 alpha=90.00 beta=90.00 gamma=90.00
Space group P4/mmm (No. 123)
One atom of each set of equivalent atoms:
Tc 0.0000 0.0000 0.0000
Tc 0.5000 0.5000 0.2237
Hg 0.0000 0.0000 0.5000

Main lines, sorted by position (10° ≤ 2θ ≤ 80°):
h k l  d (Å)  2θ/deg  Rel. int.
0 0 1  8.035  11.01  69
0 0 3  2.678  33.46  60
1 0 1  2.667  33.60  109
1 0 2  2.312  38.95  1000
0 0 4  2.009  45.14  144
1 1 0  1.999  45.37  338
1 1 4  1.417  65.92  184
2 0 0  1.414  66.10  109
1 0 6  1.210  79.14  89
2 1 2  1.206  79.47  248

***

Calculated X-ray diffraction stick pattern
Compound: Pm2Tm13
Radiation: Cu Kα (λ = 1.5418 Å)
Structure: a GGA-PBE-relaxed structure

Unit cell a=6.5133 b=8.6278 c=8.8928 alpha=69.12 beta=84.35 gamma=80.85
Space group P-1 (No. 2)
One atom of each set of equivalent atoms:
Pm 0.1973 0.3064 0.3954
Tm 0.0000 0.5000 0.0000
Tm 0.0953 0.9270 0.6929
Tm 0.1367 0.6976 0.2641
Tm 0.2380 0.0758 0.9759
Tm 0.3351 0.4973 0.6690
Tm 0.4299 0.9228 0.3591
Tm 0.4641 0.6971 0.9343

Main lines, sorted by position (10° ≤ 2θ ≤ 80°):
h k l  d (Å)  2θ/deg  Rel. int.
1 1 -2  2.924  30.58  202
1 3 1  2.765  32.38  1000
2 1 2  2.747  32.60  258
2 2 -1  2.373  37.91  79
3 2 0  2.002  45.30  138
-1 4 2  1.912  47.57  111
3 4 3  1.589  58.04  191
1 5 4  1.569  58.86  111
3 2 -3  1.478  62.90  148
0 2 6  1.475  63.01  78